1.
Calculated powder XRD pattern
Compound: ZnAuO3
Radiation: a wavelength of 1.5418 Å
Structure: a cell relaxed with GGA-PBE
Lines closer than 0.1° are merged.

Atomic structure:
```
data_ZnAuO3
_symmetry_space_group_name_H-M 'P m -3 m'
_symmetry_Int_Tables_number 221
_symmetry_space_group_name_Hall '-P 4 2 3'
_cell_length_a 3.934
_cell_length_b 3.934
_cell_length_c 3.934
_cell_angle_alpha 90.00
_cell_angle_beta 90.00
_cell_angle_gamma 90.00
loop_
_atom_site_label
_atom_site_type_symbol
_atom_site_fract_x
_atom_site_fract_y
_atom_site_fract_z
Zn1 Zn 0.000 0.000 0.000
Au1 Au 0.500 0.500 0.500
O1 O 0.000 0.000 0.500
```

Principal peaks in the range 10° ≤ 2θ ≤ 90°, low angle first:
- 2θ 22.60, rel. 21, hkl 1 0 0
- 2θ 32.18, rel. 100, hkl 1 1 0
- 2θ 39.68, rel. 18, hkl 1 1 1
- 2θ 46.15, rel. 29, hkl 2 0 0
- 2θ 51.97, rel. 11, hkl 2 1 0
- 2θ 57.37, rel. 40, hkl 2 1 1
- 2θ 67.32, rel. 18, hkl 2 2 0
- 2θ 72.01, rel. 6, hkl 3 0 0
- 2θ 76.58, rel. 17, hkl 3 1 0
- 2θ 81.07, rel. 7, hkl 3 1 1
- 2θ 85.50, rel. 6, hkl 2 2 2
- 2θ 89.90, rel. 3, hkl 3 2 0


2.
Calculated powder XRD pattern
Compound: OsAu3
Radiation: a wavelength of 1.5418 Å
Structure: a cell relaxed with GGA-PBE
Lines closer than 0.1° are merged.

Atomic structure:
```
data_OsAu3
_symmetry_space_group_name_H-M 'I 4/m m m'
_symmetry_Int_Tables_number 139
_symmetry_space_group_name_Hall '-I 4 2'
_cell_length_a 4.193
_cell_length_b 4.193
_cell_length_c 7.806
_cell_angle_alpha 90.00
_cell_angle_beta 90.00
_cell_angle_gamma 90.00
loop_
_atom_site_label
_atom_site_type_symbol
_atom_site_fract_x
_atom_site_fract_y
_atom_site_fract_z
Os1 Os 0.000 0.000 0.000
Au1 Au 0.000 0.000 0.500
Au2 Au 0.000 0.500 0.250
```

Principal peaks in the range 10° ≤ 2θ ≤ 90°, low angle first:
- 2θ 38.12, rel. 100, hkl 1 1 2
- 2θ 43.15, rel. 35, hkl 2 0 0
- 2θ 46.54, rel. 14, hkl 0 0 4
- 2θ 62.67, rel. 12, hkl 2 2 0
- 2θ 65.33, rel. 21, hkl 2 0 4
- 2θ 75.77, rel. 28, hkl 3 1 2
- 2θ 80.65, rel. 12, hkl 1 1 6
- 2θ 81.55, rel. 12, hkl 2 2 4